# 1
This entry pairs a crystal structure of Tl4In3Au4 with its computed X-ray powder pattern. Radiation: Cu Kα, 1.54184 Å. Structure: DFT lattice parameters and positions (GGA-PBE).
Neutral-atom scattering factors, no anomalous dispersion.

Largest 10 diffraction maxima, sorted by position, 10 to 90 degrees two-theta:
| index | 2θ (°) | intensity |
| --- | --- | --- |
| 1 1 1 | 28.9 | 39 |
| 2 0 1 | 31.5 | 100 |
| 2 1 0 | 32.5 | 56 |
| 2 1 1 | 38.2 | 52 |
| 0 0 2 | 39.8 | 36 |
| 3 0 1 | 42.2 | 39 |
| 2 2 0 | 42.9 | 33 |
| 2 1 2 | 52.2 | 30 |
| 2 2 2 | 60.0 | 25 |
| 5 0 1 | 67.4 | 16 |

Crystal structure
```
data_Tl4In3Au4
_chemical_formula_sum 'Tl4 In3 Au4'
_symmetry_space_group_name_H-M 'P -6 m 2'
_symmetry_Int_Tables_number 187
_symmetry_space_group_name_Hall 'P -6 2'
_cell_length_a 8.4241
_cell_length_b 8.4241
_cell_length_c 4.5324
_cell_angle_alpha 90.00
_cell_angle_beta 90.00
_cell_angle_gamma 120.00
loop_
_atom_site_label
_atom_site_fract_x
_atom_site_fract_y
_atom_site_fract_z
Tl1 0.0000 0.0000 0.0000
Tl2 0.3732 0.1866 0.5000
In1 0.0648 0.5324 0.0000
Au1 0.2142 0.4283 0.5000
Au2 0.6667 0.3333 0.0000
```


# 2
This entry pairs a crystal structure of Tm3ZnIn2Au3 with its computed X-ray powder pattern. Radiation: Cu Kα, 1.54184 Å. Structure: DFT lattice parameters and positions (GGA-PBE).
Neutral-atom scattering factors, no anomalous dispersion.

Largest 10 diffraction maxima, sorted by position, 10 to 90 degrees two-theta:
| index | 2θ (°) | intensity |
| --- | --- | --- |
| 0 0 2 | 23.2 | 19 |
| 1 2 0 | 26.6 | 15 |
| 1 0 2 | 32.9 | 80 |
| 1 4 0 | 35.6 | 100 |
| 0 4 2 | 35.8 | 31 |
| 0 6 0 | 40.8 | 50 |
| 1 4 2 | 43.0 | 36 |
| 2 0 0 | 46.8 | 24 |
| 2 6 0 | 63.8 | 27 |
| 1 8 2 | 66.0 | 32 |

Crystal structure
```
data_Tm3ZnIn2Au3
_chemical_formula_sum 'Tm6 Zn2 In4 Au6'
_symmetry_space_group_name_H-M 'A m m 2'
_symmetry_Int_Tables_number 38
_cell_length_a 3.881
_cell_length_b 13.266
_cell_length_c 7.650
_cell_angle_alpha 90.00
_cell_angle_beta 90.00
_cell_angle_gamma 90.00
loop_
_symmetry_equiv_pos_as_xyz
'x,y,z'
'-x,-y,z'
'-x,y,z'
'x,-y,z'
'x,y+1/2,z+1/2'
'-x,-y+1/2,z+1/2'
'-x,y+1/2,z+1/2'
'x,-y+1/2,z+1/2'
loop_
_atom_site_label
_atom_site_fract_x
_atom_site_fract_y
_atom_site_fract_z
Tm1 0.000 0.000 0.000
Tm2 0.000 0.199 0.376
Zn1 0.500 0.000 0.313
In1 0.500 0.128 0.713
Au1 0.000 0.000 0.559
Au2 0.500 0.165 0.086
```


# 3
This entry pairs a crystal structure of YInAu6 with its computed X-ray powder pattern. Radiation: Cu Kα, 1.54184 Å. Structure: DFT lattice parameters and positions (GGA-PBE).
Neutral-atom scattering factors, no anomalous dispersion.

Largest 10 diffraction maxima, sorted by position, 10 to 90 degrees two-theta:
| index | 2θ (°) | intensity |
| --- | --- | --- |
| 0 2 1 | 34.6 | 27 |
| 2 0 0 | 35.6 | 45 |
| 1 0 2 | 39.0 | 57 |
| 1 2 1 | 39.1 | 100 |
| 2 2 1 | 50.5 | 25 |
| 0 2 3 | 61.9 | 19 |
| 3 0 2 | 66.2 | 33 |
| 2 2 3 | 73.5 | 22 |
| 2 4 0 | 73.7 | 11 |
| 1 4 2 | 75.8 | 16 |

Crystal structure
```
data_YInAu6
_chemical_formula_sum 'Y1 In1 Au6'
_symmetry_space_group_name_H-M 'P m m 2'
_symmetry_Int_Tables_number 25
_cell_length_a 5.047
_cell_length_b 5.977
_cell_length_c 5.200
_cell_angle_alpha 90.00
_cell_angle_beta 90.00
_cell_angle_gamma 90.00
loop_
_symmetry_equiv_pos_as_xyz
'x,y,z'
'-x,-y,z'
'-x,y,z'
'x,-y,z'
loop_
_atom_site_label
_atom_site_fract_x
_atom_site_fract_y
_atom_site_fract_z
Y1 0.000 0.000 0.000
In1 0.500 0.500 0.316
Au1 0.000 0.258 0.500
Au2 0.000 0.500 0.998
Au3 0.500 0.000 0.326
Au4 0.500 0.251 0.821
```